(1)
Starting from a structure optimized by DFT (GGA-PBE), the X-ray powder pattern of Cs6AgAu was computed for copper Kα.
Kinematic intensities with the Lorentz-polarization factor, no thermal factor.

```
data_Cs6AgAu
_chemical_formula_sum 'Cs12 Ag2 Au2'
_cell_length_a 9.1327
_cell_length_b 9.1327
_cell_length_c 17.5627
_cell_angle_alpha 90.00
_cell_angle_beta 90.00
_cell_angle_gamma 120.00
_space_group_name_H-M_alt 'P -3 1 c'
_space_group_IT_number 163
_space_group_name_Hall '-P 3 2c'
loop_
_atom_site_label
_atom_site_type_symbol
_atom_site_fract_x
_atom_site_fract_y
_atom_site_fract_z
_atom_site_occupancy
Cs1 Cs 0.0128 0.3419 0.1268 1
Ag1 Ag 0.0000 0.0000 0.0000 1
Au1 Au 0.3333 0.6667 0.2500 1
```

Main lines, most intense first (2θ from 5° to 70°):
2θ/deg	intensity
21.94	100
28.20	57
34.01	41
12.27	29
36.46	27
15.08	23
54.38	21
40.84	19


(2)
Starting from a structure optimized by DFT (GGA-PBE), the X-ray powder pattern of Ac3Pr2Y was computed for copper Kα.
Kinematic intensities with the Lorentz-polarization factor, no thermal factor.

```
data_Ac3Pr2Y
_chemical_formula_sum 'Ac12 Pr8 Y4'
_cell_length_a 9.5997
_cell_length_b 10.6725
_cell_length_c 9.5526
_cell_angle_alpha 90.00
_cell_angle_beta 101.08
_cell_angle_gamma 90.00
_space_group_name_H-M_alt 'C 1 2/c 1'
_space_group_IT_number 15
loop_
_space_group_symop_operation_xyz
'x,y,z'
'-x,-y,-z'
'-x,y,-z+1/2'
'x,-y,z+1/2'
'x+1/2,y+1/2,z'
'-x+1/2,-y+1/2,-z'
'-x+1/2,y+1/2,-z+1/2'
'x+1/2,-y+1/2,z+1/2'
loop_
_atom_site_label
_atom_site_type_symbol
_atom_site_fract_x
_atom_site_fract_y
_atom_site_fract_z
_atom_site_occupancy
Ac1 Ac 0.0000 0.0597 0.2500 1
Ac2 Ac 0.2192 0.4175 0.9801 1
Pr1 Pr 0.1328 0.2511 0.6191 1
Y1 Y 0.0000 0.3858 0.2500 1
```

Main lines, most intense first (2θ from 5° to 70°):
2θ/deg	intensity
29.39	100
29.07	76
29.55	31
51.68	16
51.90	15
24.07	14
58.21	14
38.10	13


(3)
Starting from a structure optimized by DFT (GGA-PBE), the X-ray powder pattern of Tb8Ge3Te4N was computed for copper Kα.
Kinematic intensities with the Lorentz-polarization factor, no thermal factor.

```
data_Tb8Ge3Te4N
_chemical_formula_sum 'Tb16 Ge6 Te8 N2'
_cell_length_a 14.3519
_cell_length_b 8.2891
_cell_length_c 8.5522
_cell_angle_alpha 90.00
_cell_angle_beta 124.00
_cell_angle_gamma 90.00
_space_group_name_H-M_alt 'C 1 2/m 1'
_space_group_IT_number 12
loop_
_space_group_symop_operation_xyz
'x,y,z'
'-x,-y,-z'
'-x,y,-z'
'x,-y,z'
'x+1/2,y+1/2,z'
'-x+1/2,-y+1/2,-z'
'-x+1/2,y+1/2,-z'
'x+1/2,-y+1/2,z'
loop_
_atom_site_label
_atom_site_type_symbol
_atom_site_fract_x
_atom_site_fract_y
_atom_site_fract_z
_atom_site_occupancy
Tb1 Tb 0.0094 0.2353 0.2930 1
Tb2 Tb 0.2239 0.0000 0.7052 1
Tb3 Tb 0.2415 0.5000 0.7243 1
Ge1 Ge 0.0000 0.5000 0.5000 1
Ge2 Ge 0.2500 0.2500 0.5000 1
Te1 Te 0.0000 0.0000 0.0000 1
Te2 Te 0.0000 0.5000 0.0000 1
Te3 Te 0.2500 0.2500 0.0000 1
N1 N 0.0000 0.0000 0.5000 1
```

Main lines, most intense first (2θ from 5° to 70°):
2θ/deg	intensity
30.04	100
43.69	37
42.31	32
53.92	21
62.41	16
32.65	12
69.83	10
26.21	9


(4)
Starting from a structure optimized by DFT (GGA-PBE), the X-ray powder pattern of Li2Tl2O3 was computed for copper Kα.
Kinematic intensities with the Lorentz-polarization factor, no thermal factor.

```
data_Li2Tl2O3
_chemical_formula_sum 'Li4 Tl4 O6'
_cell_length_a 5.8385
_cell_length_b 6.3019
_cell_length_c 5.5646
_cell_angle_alpha 90.00
_cell_angle_beta 112.06
_cell_angle_gamma 90.00
_space_group_name_H-M_alt 'P 1 21/c 1'
_space_group_IT_number 14
loop_
_space_group_symop_operation_xyz
'x,y,z'
'-x,-y,-z'
'-x,y+1/2,-z+1/2'
'x,-y+1/2,z+1/2'
loop_
_atom_site_label
_atom_site_type_symbol
_atom_site_fract_x
_atom_site_fract_y
_atom_site_fract_z
_atom_site_occupancy
Li1 Li 0.1673 0.1111 0.4671 1
Tl1 Tl 0.2830 0.6093 0.5596 1
O1 O 0.0250 0.1364 0.7510 1
O2 O 0.5000 0.0000 0.5000 1
```

Main lines, most intense first (2θ from 5° to 70°):
2θ/deg	intensity
34.21	100
22.27	84
21.65	74
40.27	36
38.11	25
33.11	24
46.37	20
55.51	18


(5)
Starting from a structure optimized by DFT (GGA-PBE), the X-ray powder pattern of AlTl2F6 was computed for copper Kα.
Kinematic intensities with the Lorentz-polarization factor, no thermal factor.

```
data_AlTl2F6
_chemical_formula_sum 'Al4 Tl8 F24'
_cell_length_a 8.1231
_cell_length_b 8.1231
_cell_length_c 8.1231
_cell_angle_alpha 90.00
_cell_angle_beta 90.00
_cell_angle_gamma 90.00
_space_group_name_H-M_alt 'F m -3 m'
_space_group_IT_number 225
_space_group_name_Hall '-F 4 2 3'
loop_
_atom_site_label
_atom_site_type_symbol
_atom_site_fract_x
_atom_site_fract_y
_atom_site_fract_z
_atom_site_occupancy
Al1 Al 0.0000 0.0000 0.0000 1
Tl1 Tl 0.2500 0.2500 0.2500 1
F1 F 0.0000 0.0000 0.2249 1
```

Main lines, most intense first (2θ from 5° to 70°):
2θ/deg	intensity
31.14	100
21.88	83
38.39	59
50.23	42
55.41	40
44.62	35
64.94	21
69.42	21


(6)
Starting from a structure optimized by DFT (GGA-PBE), the X-ray powder pattern of ThZr12Sn6 was computed for copper Kα.
Kinematic intensities with the Lorentz-polarization factor, no thermal factor.

```
data_ThZr12Sn6
_chemical_formula_sum 'Th3 Zr36 Sn18'
_cell_length_a 13.9348
_cell_length_b 13.9348
_cell_length_c 7.8966
_cell_angle_alpha 90.00
_cell_angle_beta 90.00
_cell_angle_gamma 120.00
_space_group_name_H-M_alt 'R -3'
_space_group_IT_number 148
_space_group_name_Hall '-R 3'
loop_
_atom_site_label
_atom_site_type_symbol
_atom_site_fract_x
_atom_site_fract_y
_atom_site_fract_z
_atom_site_occupancy
Th1 Th 0.0000 0.0000 0.0000 1
Zr1 Zr 0.0045 0.1358 0.6619 1
Zr2 Zr 0.0569 0.5696 0.6747 1
Sn1 Sn 0.0215 0.2644 0.3354 1
```

Main lines, most intense first (2θ from 5° to 70°):
2θ/deg	intensity
34.32	100
39.76	67
34.06	42
57.32	22
68.70	22
57.67	19
68.38	13
68.86	10


Please write out number 4 again, unchanged.
Starting from a structure optimized by DFT (GGA-PBE), the X-ray powder pattern of Li2Tl2O3 was computed for copper Kα.
Kinematic intensities with the Lorentz-polarization factor, no thermal factor.

```
data_Li2Tl2O3
_chemical_formula_sum 'Li4 Tl4 O6'
_cell_length_a 5.8385
_cell_length_b 6.3019
_cell_length_c 5.5646
_cell_angle_alpha 90.00
_cell_angle_beta 112.06
_cell_angle_gamma 90.00
_space_group_name_H-M_alt 'P 1 21/c 1'
_space_group_IT_number 14
loop_
_space_group_symop_operation_xyz
'x,y,z'
'-x,-y,-z'
'-x,y+1/2,-z+1/2'
'x,-y+1/2,z+1/2'
loop_
_atom_site_label
_atom_site_type_symbol
_atom_site_fract_x
_atom_site_fract_y
_atom_site_fract_z
_atom_site_occupancy
Li1 Li 0.1673 0.1111 0.4671 1
Tl1 Tl 0.2830 0.6093 0.5596 1
O1 O 0.0250 0.1364 0.7510 1
O2 O 0.5000 0.0000 0.5000 1
```

Main lines, most intense first (2θ from 5° to 70°):
2θ/deg	intensity
34.21	100
22.27	84
21.65	74
40.27	36
38.11	25
33.11	24
46.37	20
55.51	18